Record 1
La2NdIr2: simulated powder diffractogram (Cu Kα X-rays), based on the PBE geometry in Alexandria.
Kinematic intensities with the Lorentz-polarization factor, no thermal factor.

Structure:
abc: 4.8433 15.1565 7.4564
angles: 90.00 90.00 90.00
Space group Cmc2_1 (No. 36)
Asymmetric unit:
1 La 0.0000 0.0750 0.0000 [4 per cell]
2 La 0.0000 0.2463 0.6598 [4 per cell]
3 Nd 0.0000 0.4245 0.9713 [4 per cell]
4 Ir 0.0000 0.1601 0.3311 [4 per cell]
5 Ir 0.0000 0.3538 0.3338 [4 per cell]

Top 10 peaks for 2θ = 10–80°, in order of rising 2θ:
index, d (Å), Position (°2θ), I (rel.)
1 1 1, 3.923, 22.66, 34.7
0 2 2, 3.345, 26.65, 32.9
1 3 1, 3.166, 28.19, 83.6
0 4 2, 2.658, 33.73, 31.8
1 5 1, 2.429, 37.00, 100.0
2 0 0, 2.422, 37.13, 52.9
1 1 3, 2.188, 41.26, 80.2
0 6 2, 2.091, 43.26, 27.8
2 4 2, 1.790, 51.02, 19.9
2 6 2, 1.583, 58.30, 23.1



Record 2
DyTm4Sn2: simulated powder diffractogram (Cu Kα X-rays), based on the PBE geometry in Alexandria.
Kinematic intensities with the Lorentz-polarization factor, no thermal factor.

Structure:
abc: 7.9463 6.4565 8.5525
angles: 90.00 114.60 90.00
Space group P2_1/m (No. 11)
Asymmetric unit:
1 Dy 0.1023 0.2500 0.3596 [2 per cell]
2 Tm 0.1704 0.7500 0.0740 [2 per cell]
3 Tm 0.3306 0.0032 0.7790 [4 per cell]
4 Tm 0.4577 0.7500 0.4872 [2 per cell]
5 Sn 0.0544 0.7500 0.3770 [2 per cell]
6 Sn 0.2833 0.2500 0.0957 [2 per cell]

Top 10 peaks for 2θ = 10–80°, in order of rising 2θ:
index, d (Å), Position (°2θ), I (rel.)
0 2 0, 3.228, 27.63, 11.5
1 2 -1, 2.926, 30.56, 40.3
1 0 -3, 2.849, 31.40, 100.0
1 2 1, 2.612, 34.33, 26.6
3 0 -2, 2.585, 34.70, 29.3
2 2 -1, 2.504, 35.86, 15.2
0 2 2, 2.484, 36.17, 24.9
3 1 -2, 2.400, 37.48, 14.4
1 2 2, 2.178, 41.47, 11.4
1 4 -3, 1.404, 66.59, 24.0